# 1
TlIr3: simulated X-ray diffraction stick pattern (Cu Kα (λ = 1.5418 Å)), based on DFT lattice parameters and positions (PBE).
Kinematic intensities with the Lorentz-polarization factor, no thermal factor.

Main lines, in order of rising 2θ (2θ = 15–90°):
37.83°, I = 100; 39.38°, I = 96; 43.67°, I = 67; 47.23°, I = 29; 61.28°, I = 14; 66.28°, I = 40; 75.32°, I = 22; 78.31°, I = 25; 81.50°, I = 11; 82.48°, I = 12

Cell and atoms:
Cell lengths 2.846, 3.849, 6.050 Å; angles 90.00, 90.00, 90.00 degrees
Space group Pmmm (No. 47)
Inequivalent atoms, fractional coordinates:
Tl: 0.000 0.000 0.000 [1 per cell]
Ir: 0.000 0.000 0.500 [1 per cell]
Ir: 0.500 0.500 0.280 [2 per cell]

# 2
KLaZn: simulated X-ray diffraction stick pattern (Cu Kα (λ = 1.5418 Å)), based on DFT lattice parameters and positions (PBE).
Kinematic intensities with the Lorentz-polarization factor, no thermal factor.

Main lines, in order of rising 2θ (2θ = 15–90°):
22.80°, I = 21; 23.99°, I = 24; 29.01°, I = 100; 33.18°, I = 57; 35.17°, I = 29; 37.21°, I = 53; 47.21°, I = 22; 47.63°, I = 20; 56.73°, I = 29; 61.94°, I = 24

Cell and atoms:
Cell lengths 3.819, 3.819, 15.604 Å; angles 90.00, 90.00, 90.00 degrees
Space group I4mm (No. 107)
Inequivalent atoms, fractional coordinates:
K: 0.000 0.000 0.000 [2 per cell]
La: 0.000 0.000 0.258 [2 per cell]
Zn: 0.000 0.000 0.661 [2 per cell]

# 3
Ba5Er2ZrAl2O13: simulated X-ray diffraction stick pattern (Cu Kα (λ = 1.5418 Å)), based on DFT lattice parameters and positions (PBE).
Kinematic intensities with the Lorentz-polarization factor, no thermal factor.

Main lines, in order of rising 2θ (2θ = 15–90°):
17.38°, I = 18; 27.30°, I = 24; 29.70°, I = 100; 30.20°, I = 65; 40.77°, I = 17; 42.87°, I = 32; 52.70°, I = 20; 53.02°, I = 26; 53.96°, I = 15; 61.66°, I = 19

Cell and atoms:
Cell lengths 6.0163, 6.0163, 25.1643 Å; angles 90.00, 90.00, 120.00 degrees
Space group P6_3/mmc (No. 194)
Inequivalent atoms, fractional coordinates:
Ba: 0.0000 0.0000 0.1373 [4 per cell]
Ba: 0.3333 0.6667 0.0414 [4 per cell]
Ba: 0.3333 0.6667 0.7500 [2 per cell]
Er: 0.3333 0.6667 0.6040 [4 per cell]
Zr: 0.0000 0.0000 0.0000 [2 per cell]
Al: 0.3333 0.6667 0.1809 [4 per cell]
O: 0.0102 0.5051 0.1580 [12 per cell]
O: 0.1631 0.3263 0.5504 [12 per cell]
O: 0.3333 0.6667 0.2500 [2 per cell]

# 4
Ti6GePd12: simulated X-ray diffraction stick pattern (Cu Kα (λ = 1.5418 Å)), based on DFT lattice parameters and positions (PBE).
Kinematic intensities with the Lorentz-polarization factor, no thermal factor.

Main lines, in order of rising 2θ (2θ = 15–90°):
21.23°, I = 4; 25.28°, I = 4; 25.82°, I = 5; 31.11°, I = 3; 33.24°, I = 3; 39.43°, I = 100; 45.85°, I = 48; 66.85°, I = 29; 80.47°, I = 33; 84.86°, I = 9

Cell and atoms:
Cell lengths 12.2033, 12.2033, 6.8527 Å; angles 90.00, 90.00, 120.00 degrees
Space group R-3 (No. 148, hexagonal axes)
Inequivalent atoms, fractional coordinates:
Ti: 0.0233 0.2668 0.3515 [18 per cell]
Ge: 0.0000 0.0000 0.0000 [3 per cell]
Pd: 0.0074 0.1384 0.6658 [18 per cell]
Pd: 0.0657 0.5596 0.6713 [18 per cell]

# 5
Tm8Ru3: simulated X-ray diffraction stick pattern (Cu Kα (λ = 1.5418 Å)), based on DFT lattice parameters and positions (PBE).
Kinematic intensities with the Lorentz-polarization factor, no thermal factor.

Main lines, in order of rising 2θ (2θ = 15–90°):
30.00°, I = 58; 30.53°, I = 100; 32.62°, I = 32; 33.36°, I = 38; 44.91°, I = 15; 45.66°, I = 22; 51.73°, I = 22; 52.24°, I = 17; 52.41°, I = 16; 63.60°, I = 16

Cell and atoms:
Cell lengths 9.2385, 9.2385, 11.6889 Å; angles 90.00, 90.00, 120.00 degrees
Space group R-3 (No. 148, hexagonal axes)
Inequivalent atoms, fractional coordinates:
Tm: 0.0000 0.0000 0.1505 [6 per cell]
Tm: 0.0457 0.2667 0.6139 [18 per cell]
Ru: 0.0000 0.5000 0.5000 [9 per cell]

# 6
Nd3ScCd2: simulated X-ray diffraction stick pattern (Cu Kα (λ = 1.5418 Å)), based on DFT lattice parameters and positions (PBE).
Kinematic intensities with the Lorentz-polarization factor, no thermal factor.

Main lines, in order of rising 2θ (2θ = 15–90°):
32.29°, I = 100; 33.47°, I = 46; 44.51°, I = 10; 48.06°, I = 16; 56.82°, I = 19; 59.09°, I = 34; 67.58°, I = 11; 74.24°, I = 8; 79.51°, I = 7; 80.16°, I = 7

Cell and atoms:
Cell lengths 3.787, 3.787, 12.212 Å; angles 90.00, 90.00, 90.00 degrees
Space group P4/mmm (No. 123)
Inequivalent atoms, fractional coordinates:
Nd: 0.000 0.000 0.000 [1 per cell]
Nd: 0.000 0.000 0.326 [2 per cell]
Sc: 0.500 0.500 0.500 [1 per cell]
Cd: 0.500 0.500 0.166 [2 per cell]

Q: Number 6 is which compound?
A: Nd3ScCd2